# Li3PbAu
Theoretical XRD peak list, Cu Kα. Input: a GGA-PBE-relaxed structure.
No peak broadening, texture or thermal motion is included.

Atomic structure:
Cell: 6.0259 4.5000 6.9154 Å, 90.00 98.72 90.00°
Space group P2_1/m (No. 11)
Asymmetric unit:
Li1 0.1354 0.2500 0.0303 (multiplicity 2)
Li2 0.2345 0.7500 0.7282 (multiplicity 2)
Li3 0.3003 0.2500 0.4391 (multiplicity 2)
Pb1 0.4384 0.7500 0.1663 (multiplicity 2)
Au1 0.0279 0.7500 0.3522 (multiplicity 2)

Top 6 peaks for 2θ from 10° to 90°, in order of rising 2θ:
d/Å	I (rel.)
4.187	54
3.759	100
2.597	32
2.435	64
2.370	49
2.247	47